No. 1
Simulated powder diffraction line list of La8Pb3 for Cu Kα (weighted mean of Kα1 and Kα2), from the PBE geometry in Alexandria.

Largest 6 diffraction maxima, low angle first, 5 to 70 degrees two-theta:
- 26.30°, intensity 100
- 26.47°, intensity 21
- 28.91°, intensity 38
- 29.15°, intensity 38
- 39.54°, intensity 51
- 39.78°, intensity 25

Cell lengths 7.554, 7.554, 7.554 Å; angles 90.46, 90.46, 90.46 degrees
Fractional coordinates of all 11 atoms:
La1 0.138 0.138 0.138
La2 0.185 0.362 0.625
La3 0.362 0.625 0.185
La4 0.375 0.815 0.638
La5 0.625 0.185 0.362
La6 0.638 0.375 0.815
La7 0.815 0.638 0.375
La8 0.862 0.862 0.862
Pb1 0.000 0.000 0.500
Pb2 0.000 0.500 0.000
Pb3 0.500 0.000 0.000

=====

No. 2
Simulated powder diffraction line list of Na2ThGaTe5 for Cu Kα (weighted mean of Kα1 and Kα2), from the PBE geometry in Alexandria.

Largest 6 diffraction maxima, low angle first, 5 to 70 degrees two-theta:
- 10.36°, intensity 45
- 25.06°, intensity 40
- 25.78°, intensity 55
- 28.80°, intensity 100
- 32.52°, intensity 45
- 44.74°, intensity 37

Cell lengths 10.889, 10.889, 14.211 Å; angles 90.00, 90.00, 157.88 degrees
Fractional coordinates of all 18 atoms:
Na1 0.098 0.902 0.500
Na2 0.114 0.886 0.169
Na3 0.886 0.114 0.669
Na4 0.902 0.098 0.000
Th1 0.207 0.793 0.866
Th2 0.793 0.207 0.366
Ga1 0.431 0.569 0.257
Ga2 0.569 0.431 0.757
Te1 0.053 0.947 0.874
Te2 0.307 0.693 0.522
Te3 0.311 0.689 0.199
Te4 0.351 0.649 0.844
Te5 0.499 0.501 0.106
Te6 0.501 0.499 0.606
Te7 0.649 0.351 0.344
Te8 0.689 0.311 0.699
Te9 0.693 0.307 0.022
Te10 0.947 0.053 0.374

=====

No. 3
Simulated powder diffraction line list of Ca6Br5Cl7 for Cu Kα (weighted mean of Kα1 and Kα2), from the PBE geometry in Alexandria.

Largest 6 diffraction maxima, low angle first, 5 to 70 degrees two-theta:
- 19.55°, intensity 99
- 27.84°, intensity 98
- 28.68°, intensity 100
- 29.38°, intensity 48
- 36.26°, intensity 81
- 46.28°, intensity 84

Cell lengths 12.826, 6.637, 6.637 Å; angles 86.36, 90.00, 90.00 degrees
Fractional coordinates of all 18 atoms:
Ca1 0.000 0.000 0.000
Ca2 0.162 0.519 0.519
Ca3 0.333 0.017 0.017
Ca4 0.500 0.516 0.516
Ca5 0.667 0.017 0.017
Ca6 0.838 0.519 0.519
Br1 0.000 0.310 0.310
Br2 0.331 0.318 0.318
Br3 0.332 0.716 0.716
Br4 0.668 0.716 0.716
Br5 0.669 0.318 0.318
Cl1 0.000 0.708 0.708
Cl2 0.165 0.207 0.817
Cl3 0.165 0.817 0.207
Cl4 0.500 0.211 0.823
Cl5 0.500 0.823 0.211
Cl6 0.835 0.207 0.817
Cl7 0.835 0.817 0.207

=====

No. 4
Simulated powder diffraction line list of Rb3PmTm3Te8 for Cu Kα (weighted mean of Kα1 and Kα2), from the PBE geometry in Alexandria.

Largest 6 diffraction maxima, low angle first, 5 to 70 degrees two-theta:
- 10.05°, intensity 46
- 27.02°, intensity 100
- 33.43°, intensity 19
- 36.01°, intensity 35
- 41.03°, intensity 40
- 49.82°, intensity 18

Cell lengths 10.160, 10.160, 10.160 Å; angles 51.32, 51.32, 51.32 degrees
Fractional coordinates of all 15 atoms:
Rb1 0.000 0.500 0.500
Rb2 0.500 0.000 0.500
Rb3 0.500 0.500 0.000
Pm1 0.500 0.500 0.500
Tm1 0.000 0.000 0.500
Tm2 0.000 0.500 0.000
Tm3 0.500 0.000 0.000
Te1 0.222 0.739 0.739
Te2 0.232 0.232 0.232
Te3 0.261 0.261 0.778
Te4 0.261 0.778 0.261
Te5 0.739 0.222 0.739
Te6 0.739 0.739 0.222
Te7 0.768 0.768 0.768
Te8 0.778 0.261 0.261

=====

No. 5
Simulated powder diffraction line list of ZnIn17Ga11 for Cu Kα (weighted mean of Kα1 and Kα2), from the PBE geometry in Alexandria.

Largest 6 diffraction maxima, low angle first, 5 to 70 degrees two-theta:
- 31.89°, intensity 100
- 34.81°, intensity 95
- 36.48°, intensity 55
- 37.01°, intensity 31
- 39.09°, intensity 24
- 60.94°, intensity 24

Cell lengths 9.219, 9.219, 9.215 Å; angles 104.39, 104.39, 104.56 degrees
Fractional coordinates of all 29 atoms:
Zn1 0.000 0.000 0.000
In1 0.039 0.273 0.873
In2 0.041 0.390 0.578
In3 0.044 0.319 0.231
In4 0.044 0.689 0.471
In5 0.046 0.046 0.514
In6 0.046 0.674 0.862
In7 0.273 0.039 0.873
In8 0.282 0.687 0.234
In9 0.319 0.044 0.231
In10 0.387 0.387 0.224
In11 0.390 0.041 0.578
In12 0.392 0.392 0.578
In13 0.672 0.672 0.235
In14 0.674 0.046 0.862
In15 0.683 0.683 0.874
In16 0.687 0.282 0.234
In17 0.689 0.044 0.471
Ga1 0.005 0.812 0.193
Ga2 0.339 0.528 0.917
Ga3 0.344 0.731 0.721
Ga4 0.484 0.863 0.055
Ga5 0.528 0.339 0.917
Ga6 0.533 0.730 0.532
Ga7 0.730 0.533 0.532
Ga8 0.731 0.344 0.721
Ga9 0.812 0.005 0.193
Ga10 0.863 0.484 0.055
Ga11 0.867 0.867 0.679

=====

No. 6
Simulated powder diffraction line list of La8TlSn2 for Cu Kα (weighted mean of Kα1 and Kα2), from the PBE geometry in Alexandria.

Largest 6 diffraction maxima, low angle first, 5 to 70 degrees two-theta:
- 22.53°, intensity 13
- 30.82°, intensity 21
- 32.53°, intensity 100
- 33.00°, intensity 30
- 45.77°, intensity 14
- 58.63°, intensity 19

Cell lengths 9.887, 9.887, 9.887 Å; angles 148.13, 134.49, 56.63 degrees
Fractional coordinates of all 11 atoms:
La1 0.123 0.355 0.769
La2 0.190 0.190 0.000
La3 0.296 0.000 0.296
La4 0.414 0.645 0.769
La5 0.586 0.355 0.231
La6 0.704 0.000 0.704
La7 0.810 0.810 0.000
La8 0.877 0.645 0.231
Tl1 0.000 0.500 0.500
Sn1 0.310 0.810 0.500
Sn2 0.690 0.190 0.500

=====

No. 7
Simulated powder diffraction line list of Rb3Ag2Br2F5 for Cu Kα (weighted mean of Kα1 and Kα2), from the PBE geometry in Alexandria.

Largest 6 diffraction maxima, low angle first, 5 to 70 degrees two-theta:
- 14.17°, intensity 18
- 27.11°, intensity 100
- 31.58°, intensity 86
- 38.71°, intensity 61
- 50.79°, intensity 44
- 55.90°, intensity 20

Cell lengths 12.927, 12.927, 12.927 Å; angles 159.27, 159.27, 29.48 degrees
Fractional coordinates of all 12 atoms:
Rb1 0.000 0.000 0.000
Rb2 0.158 0.158 0.000
Rb3 0.842 0.842 0.000
Ag1 0.413 0.413 0.000
Ag2 0.587 0.587 0.000
Br1 0.308 0.308 0.000
Br2 0.692 0.692 0.000
F1 0.084 0.584 0.500
F2 0.416 0.916 0.500
F3 0.500 0.500 0.000
F4 0.584 0.084 0.500
F5 0.916 0.416 0.500

=====

No. 8
Simulated powder diffraction line list of HfTePbO5 for Cu Kα (weighted mean of Kα1 and Kα2), from the PBE geometry in Alexandria.

Largest 6 diffraction maxima, low angle first, 5 to 70 degrees two-theta:
- 23.18°, intensity 90
- 26.75°, intensity 100
- 31.22°, intensity 97
- 31.37°, intensity 86
- 31.77°, intensity 82
- 43.10°, intensity 36

Cell lengths 6.124, 6.124, 7.982 Å; angles 105.92, 105.92, 101.19 degrees
Fractional coordinates of all 16 atoms:
Hf1 0.000 0.500 0.000
Hf2 0.500 0.000 0.500
Te1 0.037 0.963 0.750
Te2 0.963 0.037 0.250
Pb1 0.455 0.545 0.750
Pb2 0.545 0.455 0.250
O1 0.110 0.756 0.886
O2 0.243 0.322 0.931
O3 0.244 0.890 0.614
O4 0.282 0.718 0.250
O5 0.322 0.243 0.431
O6 0.678 0.757 0.569
O7 0.718 0.282 0.750
O8 0.756 0.110 0.386
O9 0.757 0.678 0.069
O10 0.890 0.244 0.114

=====

No. 9
Simulated powder diffraction line list of Ac2Nd3Tm4 for Cu Kα (weighted mean of Kα1 and Kα2), from the PBE geometry in Alexandria.

Largest 6 diffraction maxima, low angle first, 5 to 70 degrees two-theta:
- 29.84°, intensity 35
- 31.31°, intensity 100
- 31.44°, intensity 49
- 32.33°, intensity 69
- 43.90°, intensity 25
- 55.90°, intensity 21

Cell lengths 7.269, 15.849, 5.690 Å; angles 90.00, 90.00, 90.00 degrees
Fractional coordinates of all 18 atoms:
Ac1 0.164 0.095 0.000
Ac2 0.336 0.595 0.500
Ac3 0.664 0.405 0.500
Ac4 0.836 0.905 0.000
Nd1 0.000 0.500 0.000
Nd2 0.108 0.829 0.500
Nd3 0.392 0.329 0.000
Nd4 0.500 0.000 0.500
Nd5 0.608 0.671 0.000
Nd6 0.892 0.171 0.500
Tm1 0.094 0.706 0.000
Tm2 0.134 0.377 0.500
Tm3 0.366 0.877 0.000
Tm4 0.406 0.206 0.500
Tm5 0.594 0.794 0.500
Tm6 0.634 0.123 0.000
Tm7 0.866 0.623 0.500
Tm8 0.906 0.294 0.000

=====

No. 10
Simulated powder diffraction line list of YRu2 for Cu Kα (weighted mean of Kα1 and Kα2), from the PBE geometry in Alexandria.

Largest 6 diffraction maxima, low angle first, 5 to 70 degrees two-theta:
- 17.84°, intensity 46
- 36.13°, intensity 42
- 37.92°, intensity 95
- 40.13°, intensity 100
- 44.22°, intensity 62
- 55.09°, intensity 42

Cell lengths 5.609, 5.609, 4.493 Å; angles 90.00, 90.00, 55.14 degrees
Fractional coordinates of all 6 atoms:
Y1 0.244 0.756 0.750
Y2 0.756 0.244 0.250
Ru1 0.135 0.431 0.250
Ru2 0.431 0.135 0.750
Ru3 0.569 0.865 0.250
Ru4 0.865 0.569 0.750

=====

No. 11
Simulated powder diffraction line list of Te3Ir for Cu Kα (weighted mean of Kα1 and Kα2), from the PBE geometry in Alexandria.

Largest 6 diffraction maxima, low angle first, 5 to 70 degrees two-theta:
- 15.12°, intensity 100
- 17.16°, intensity 61
- 31.26°, intensity 42
- 31.43°, intensity 43
- 31.62°, intensity 65
- 36.30°, intensity 82

Cell lengths 3.831, 5.969, 6.601 Å; angles 64.09, 89.94, 71.57 degrees
Fractional coordinates of all 4 atoms:
Te1 0.000 0.000 0.000
Te2 0.144 0.713 0.701
Te3 0.307 0.380 0.291
Ir1 0.773 0.449 0.993

=====

No. 12
Simulated powder diffraction line list of VPdS2 for Cu Kα (weighted mean of Kα1 and Kα2), from the PBE geometry in Alexandria.

Largest 6 diffraction maxima, low angle first, 5 to 70 degrees two-theta:
- 16.23°, intensity 100
- 35.65°, intensity 23
- 35.99°, intensity 22
- 45.46°, intensity 23
- 46.13°, intensity 23
- 48.58°, intensity 21

Cell lengths 6.764, 6.764, 6.764 Å; angles 130.99, 72.31, 130.38 degrees
Fractional coordinates of all 8 atoms:
V1 0.250 0.250 0.000
V2 0.750 0.750 0.000
Pd1 0.250 0.750 0.500
Pd2 0.750 0.250 0.500
S1 0.117 0.214 0.330
S2 0.383 0.714 0.097
S3 0.617 0.286 0.903
S4 0.883 0.786 0.670

=====

- What is the formula in the first record?
  La8Pb3